Computed X-ray powder pattern
Compound: Li4Cr3O8
Radiation: Cu Kα (weighted mean of Kα1 and Kα2)
Structure: a DFT-relaxed cell (GGA+U, Alexandria)

Structure:
a = 5.8008 Å, b = 5.8008 Å, c = 15.3504 Å
α = 90.00°, β = 90.00°, γ = 120.00°
Space group R-3m (No. 166, hexagonal axes)
Inequivalent atoms, fractional coordinates:
Li  0.0000  0.0000  0.0000 (multiplicity 3)
Li  0.0000  0.0000  0.1426 (multiplicity 6)
Li  0.0000  0.0000  0.5000 (multiplicity 3)
Cr  0.0000  0.5000  0.0000 (multiplicity 9)
O  0.0000  0.0000  0.2646 (multiplicity 6)
O  0.0187  0.5094  0.2654 (multiplicity 18)

Largest 10 diffraction maxima, low angle first, 10 to 90 degrees two-theta:
hkl 0 0 3, 2θ = 17.3°, 5.117 Å, intensity 100
hkl 1 0 1, 2θ = 18.6°, 4.774 Å, intensity 21
hkl 0 1 2, 2θ = 21.1°, 4.203 Å, intensity 11
hkl 1 1 3, 2θ = 35.6°, 2.523 Å, intensity 10
hkl 0 2 1, 2θ = 36.2°, 2.479 Å, intensity 29
hkl 0 2 4, 2θ = 43.0°, 2.102 Å, intensity 55
hkl 0 2 7, 2θ = 55.6°, 1.652 Å, intensity 18
hkl 2 0 8, 2θ = 60.7°, 1.525 Å, intensity 15
hkl 2 2 0, 2θ = 64.2°, 1.450 Å, intensity 16
hkl 2 2 3, 2θ = 67.1°, 1.395 Å, intensity 11